Record 1
Structure and calculated powder X-ray diffraction pattern of SrTlAu (a crystal structure in Alexandria, relaxed with GGA-PBE; Cu Kα).

Atomic structure:
Cell: 5.0061 3.9650 8.9207 Å, 90.00 90.00 90.00°
Sites, in units of the cell vectors:
Sr1 0.2500 0.0000 0.2051
Sr2 0.7500 0.0000 0.7949
Tl1 0.2500 0.5000 0.5913
Tl2 0.7500 0.5000 0.4088
Au1 0.2500 0.5000 0.9175
Au2 0.7500 0.5000 0.0825

Top 10 peaks for 15 to 90 degrees two-theta, low angle first:
2θ/deg, Rel. int.
22.42, 59
30.16, 40
30.46, 100
35.10, 85
35.88, 45
42.05, 57
45.77, 23
47.55, 23
58.96, 38
82.14, 24

Record 2
Structure and calculated powder X-ray diffraction pattern of TlCuSn3 (a crystal structure in Alexandria, relaxed with GGA-PBE; Cu Kα).

Atomic structure:
Cell: 11.1693 11.1693 4.9833 Å, 102.88 102.88 26.50°
Sites, in units of the cell vectors:
Tl1 0.0733 0.0733 0.3221
Tl2 0.9267 0.9267 0.6779
Cu1 0.3381 0.3381 0.0859
Cu2 0.6619 0.6619 0.9141
Sn1 0.1960 0.1960 0.9421
Sn2 0.2967 0.2967 0.5449
Sn3 0.4605 0.4605 0.2101
Sn4 0.5395 0.5395 0.7899
Sn5 0.7033 0.7033 0.4551
Sn6 0.8040 0.8040 0.0579

Top 10 peaks for 15 to 90 degrees two-theta, low angle first:
2θ/deg, Rel. int.
26.34, 12
27.34, 12
30.19, 100
33.88, 16
35.05, 31
36.05, 29
42.52, 15
51.16, 21
59.89, 15
61.22, 15

Record 3
Structure and calculated powder X-ray diffraction pattern of Sr3Tl4 (a crystal structure in Alexandria, relaxed with GGA-PBE; Cu Kα).

Atomic structure:
Cell: 9.1503 9.1503 9.1503 Å, 113.76 113.76 113.76°
Sites, in units of the cell vectors:
Sr1 0.0195 0.6171 0.7491
Sr2 0.2509 0.9805 0.3829
Sr3 0.3829 0.2509 0.9805
Sr4 0.6171 0.7491 0.0195
Sr5 0.7491 0.0195 0.6171
Sr6 0.9805 0.3829 0.2509
Tl1 0.0000 0.0000 0.0000
Tl2 0.1007 0.2509 0.5605
Tl3 0.2509 0.5605 0.1007
Tl4 0.4395 0.8993 0.7491
Tl5 0.5000 0.5000 0.5000
Tl6 0.5605 0.1007 0.2509
Tl7 0.7491 0.4395 0.8993
Tl8 0.8993 0.7491 0.4395

Top 10 peaks for 15 to 90 degrees two-theta, low angle first:
2θ/deg, Rel. int.
21.81, 25
30.87, 100
31.21, 95
44.47, 31
54.90, 17
55.11, 31
55.74, 14
65.10, 9
73.23, 11
73.77, 10

Record 4
Structure and calculated powder X-ray diffraction pattern of AcSn2HgPt (a crystal structure in Alexandria, relaxed with GGA-PBE; Cu Kα).

Atomic structure:
Cell: 5.0308 5.0308 6.1791 Å, 90.00 90.00 90.00°
Sites, in units of the cell vectors:
Ac1 0.0000 0.0000 0.0000
Sn1 0.0000 0.5000 0.4137
Sn2 0.5000 0.0000 0.4137
Hg1 0.5000 0.5000 0.0756
Pt1 0.0000 0.0000 0.5429

Top 10 peaks for 15 to 90 degrees two-theta, low angle first:
2θ/deg, Rel. int.
17.63, 26
22.79, 26
25.03, 35
28.94, 100
35.69, 76
38.60, 68
46.56, 38
51.37, 27
60.03, 36
66.06, 27

Record 5
Structure and calculated powder X-ray diffraction pattern of Pm2Ni3Ge4 (a crystal structure in Alexandria, relaxed with GGA-PBE; Cu Kα).

Atomic structure:
Cell: 7.9199 7.9199 7.3614 Å, 90.00 90.00 138.36°
Sites, in units of the cell vectors:
Pm1 0.1105 0.8895 0.9048
Pm2 0.3895 0.6105 0.4048
Pm3 0.6105 0.3895 0.5952
Pm4 0.8895 0.1105 0.0952
Ni1 0.0000 0.0000 0.5000
Ni2 0.0266 0.4734 0.7500
Ni3 0.4734 0.0266 0.2500
Ni4 0.5000 0.5000 0.0000
Ni5 0.5266 0.9734 0.7500
Ni6 0.9734 0.5266 0.2500
Ge1 0.1853 0.8147 0.5212
Ge2 0.1904 0.3096 0.7500
Ge3 0.3096 0.1904 0.2500
Ge4 0.3147 0.6853 0.0212
Ge5 0.6853 0.3147 0.9788
Ge6 0.6904 0.8096 0.7500
Ge7 0.8096 0.6904 0.2500
Ge8 0.8147 0.1853 0.4788

Top 10 peaks for 15 to 90 degrees two-theta, low angle first:
2θ/deg, Rel. int.
29.62, 18
34.32, 47
36.26, 56
36.39, 100
38.48, 29
38.66, 49
40.32, 93
52.48, 18
59.67, 23
62.78, 22